Li2Mn3F8: computed PXRD pattern (Cu Ka), based on a GGA+U-relaxed structure.
Kinematic intensities with the Lorentz-polarization factor, no thermal factor.

The 10 most intense peaks (10 to 80 degrees two-theta), most intense first:
- 41.09 deg, d = 2.197 Å, intensity 100.0, hkl 4 0 0
- 17.48 deg, d = 5.073 Å, intensity 98.5, hkl 1 1 1
- 33.83 deg, d = 2.649 Å, intensity 68.4, hkl 3 1 1
- 24.82 deg, d = 3.587 Å, intensity 61.2, hkl 2 1 1
- 22.63 deg, d = 3.930 Å, intensity 46.7, hkl 2 1 0
- 59.51 deg, d = 1.553 Å, intensity 45.3, hkl 4 4 0
- 57.44 deg, d = 1.604 Å, intensity 35.4, hkl 5 2 1
- 42.41 deg, d = 2.131 Å, intensity 30.0, hkl 4 1 0
- 32.21 deg, d = 2.779 Å, intensity 25.3, hkl 3 1 0
- 52.04 deg, d = 1.757 Å, intensity 21.1, hkl 4 3 0

Structure:
a b c (Å): 8.7874 8.7874 8.7874
angles (deg): 90.00 90.00 90.00
Fractional positions:
Li1 0.0209 0.4791 0.5209
Li2 0.2291 0.7291 0.7709
Li3 0.2709 0.2709 0.2709
Li4 0.4791 0.5209 0.0209
Li5 0.5209 0.0209 0.4791
Li6 0.7291 0.7709 0.2291
Li7 0.7709 0.2291 0.7291
Li8 0.9791 0.9791 0.9791
Mn1 0.0933 0.6250 0.1567
Mn2 0.1250 0.3433 0.9067
Mn3 0.1567 0.0933 0.6250
Mn4 0.3433 0.9067 0.1250
Mn5 0.3750 0.6567 0.4067
Mn6 0.4067 0.3750 0.6567
Mn7 0.5933 0.8750 0.8433
Mn8 0.6250 0.1567 0.0933
Mn9 0.6567 0.4067 0.3750
Mn10 0.8433 0.5933 0.8750
Mn11 0.8750 0.8433 0.5933
Mn12 0.9067 0.1250 0.3433
F1 0.0979 0.5979 0.9021
F2 0.1098 0.8644 0.1113
F3 0.1113 0.1098 0.8644
F4 0.1144 0.8598 0.6387
F5 0.1356 0.6113 0.3902
F6 0.1387 0.3856 0.1402
F7 0.1402 0.1387 0.3856
F8 0.1521 0.3479 0.6521
F9 0.3479 0.6521 0.1521
F10 0.3598 0.8613 0.8856
F11 0.3613 0.6144 0.6402
F12 0.3644 0.3887 0.8902
F13 0.3856 0.1402 0.1387
F14 0.3887 0.8902 0.3644
F15 0.3902 0.1356 0.6113
F16 0.4021 0.4021 0.4021
F17 0.5979 0.9021 0.0979
F18 0.6098 0.6356 0.8887
F19 0.6113 0.3902 0.1356
F20 0.6144 0.6402 0.3613
F21 0.6356 0.8887 0.6098
F22 0.6387 0.1144 0.8598
F23 0.6402 0.3613 0.6144
F24 0.6521 0.1521 0.3479
F25 0.8479 0.8479 0.8479
F26 0.8598 0.6387 0.1144
F27 0.8613 0.8856 0.3598
F28 0.8644 0.1113 0.1098
F29 0.8856 0.3598 0.8613
F30 0.8887 0.6098 0.6356
F31 0.8902 0.3644 0.3887
F32 0.9021 0.0979 0.5979